Diffraction record for CaTi2O4. The powder diffraction line list is theoretical, not measured: it uses a structure optimized by DFT (GGA-PBE) and Cu Kα, 1.54184 Å.
Kinematic intensities with the Lorentz-polarization factor, no thermal factor.

Structural model:
Cell: 5.9115 11.3718 5.1316 Å, 90.00 90.00 90.00°
Fractional positions:
Ca (0.2500, 0.2500, 0.0391)
Ca (0.2500, 0.7500, 0.3404)
Ca (0.7500, 0.2500, 0.6596)
Ca (0.7500, 0.7500, 0.9609)
Ti (0.0000, 0.0000, 0.5000)
Ti (0.0000, 0.5000, 0.5000)
Ti (0.2500, 0.5105, 0.9730)
Ti (0.2500, 0.9895, 0.9730)
Ti (0.5000, 0.0000, 0.5000)
Ti (0.5000, 0.5000, 0.5000)
Ti (0.7500, 0.0105, 0.0270)
Ti (0.7500, 0.4895, 0.0270)
O (0.0031, 0.1064, 0.8391)
O (0.0031, 0.3936, 0.8391)
O (0.2500, 0.0902, 0.3257)
O (0.2500, 0.4098, 0.3257)
O (0.2500, 0.6079, 0.6547)
O (0.2500, 0.8921, 0.6547)
O (0.4969, 0.1064, 0.8391)
O (0.4969, 0.3936, 0.8391)
O (0.5031, 0.6064, 0.1609)
O (0.5031, 0.8936, 0.1609)
O (0.7500, 0.1079, 0.3453)
O (0.7500, 0.3921, 0.3453)
O (0.7500, 0.5902, 0.6743)
O (0.7500, 0.9098, 0.6743)
O (0.9969, 0.6064, 0.1609)
O (0.9969, 0.8936, 0.1609)

Principal peaks in the range 2θ = 10–90°, low angle first:
d 5.686, I 100, hkl 0 2 0
d 3.668, I 25, hkl 1 1 1
d 2.843, I 20, hkl 0 4 0
d 2.710, I 18, hkl 1 3 1
d 2.563, I 35, hkl 0 0 2
d 2.336, I 60, hkl 2 2 1
d 2.123, I 38, hkl 0 3 2
d 1.903, I 88, hkl 2 4 1
d 1.524, I 25, hkl 2 6 1
d 1.480, I 24, hkl 2 0 3